# 1
Structure and theoretical X-ray powder pattern of HoP (a structure optimized by DFT (PBE); Cu Kα).
Lines closer than 0.1° are merged.

Structure:
```
data_HoP
_chemical_formula_sum 'Ho4 P4'
_symmetry_space_group_name_H-M 'P 1'
_symmetry_Int_Tables_number 1
_cell_length_a 5.640
_cell_length_b 5.640
_cell_length_c 5.640
_cell_angle_alpha 90.00
_cell_angle_beta 90.00
_cell_angle_gamma 90.00
loop_
_symmetry_equiv_pos_as_xyz
'x,y,z'
loop_
_atom_site_label
_atom_site_type_symbol
_atom_site_fract_x
_atom_site_fract_y
_atom_site_fract_z
Ho1 Ho 0.000 0.000 0.000
Ho2 Ho 0.000 0.500 0.500
Ho3 Ho 0.500 0.000 0.500
Ho4 Ho 0.500 0.500 0.000
P1 P 0.000 0.000 0.500
P2 P 0.000 0.500 0.000
P3 P 0.500 0.000 0.000
P4 P 0.500 0.500 0.500
```

Main lines, low angle first (10° ≤ 2θ ≤ 80°):
d_spacing	two_theta	Rel. int.
3.256	27.39	885
2.820	31.73	1000
1.994	45.48	730
1.701	53.91	430
1.628	56.52	255
1.410	66.28	118
1.294	73.14	174
1.261	75.36	329

=====

# 2
Structure and theoretical X-ray powder pattern of Ho3P (a structure optimized by DFT (PBE); Cu Kα).
Lines closer than 0.1° are merged.

Structure:
```
data_Ho3P
_chemical_formula_sum 'Ho6 P2'
_symmetry_space_group_name_H-M 'P 1'
_symmetry_Int_Tables_number 1
_cell_length_a 4.381
_cell_length_b 4.381
_cell_length_c 10.171
_cell_angle_alpha 90.00
_cell_angle_beta 90.00
_cell_angle_gamma 90.00
loop_
_symmetry_equiv_pos_as_xyz
'x,y,z'
loop_
_atom_site_label
_atom_site_type_symbol
_atom_site_fract_x
_atom_site_fract_y
_atom_site_fract_z
Ho1 Ho 0.000 0.000 0.000
Ho2 Ho 0.000 0.500 0.250
Ho3 Ho 0.000 0.500 0.750
Ho4 Ho 0.500 0.000 0.250
Ho5 Ho 0.500 0.000 0.750
Ho6 Ho 0.500 0.500 0.500
P1 P 0.000 0.000 0.500
P2 P 0.500 0.500 0.000
```

Main lines, low angle first (10° ≤ 2θ ≤ 80°):
d_spacing	two_theta	Rel. int.
5.085	17.44	79
4.024	22.09	184
2.681	33.42	67
2.646	33.88	1000
2.543	35.30	224
2.190	41.21	292
1.924	47.25	52
1.660	55.36	246
1.549	59.70	98
1.487	62.45	171
1.337	70.45	240
1.323	71.30	116

=====

# 3
Structure and theoretical X-ray powder pattern of Ho3P6Pd20 (a structure optimized by DFT (PBE); Cu Kα).
Lines closer than 0.1° are merged.

Structure:
```
data_Ho3P6Pd20
_chemical_formula_sum 'Ho3 P6 Pd20'
_symmetry_space_group_name_H-M 'P 1'
_symmetry_Int_Tables_number 1
_cell_length_a 8.676
_cell_length_b 8.676
_cell_length_c 8.676
_cell_angle_alpha 60.00
_cell_angle_beta 60.00
_cell_angle_gamma 60.00
loop_
_symmetry_equiv_pos_as_xyz
'x,y,z'
loop_
_atom_site_label
_atom_site_type_symbol
_atom_site_fract_x
_atom_site_fract_y
_atom_site_fract_z
Ho1 Ho 0.000 0.000 0.000
Ho2 Ho 0.250 0.250 0.250
Ho3 Ho 0.750 0.750 0.750
P1 P 0.264 0.264 0.736
P2 P 0.264 0.736 0.264
P3 P 0.264 0.736 0.736
P4 P 0.736 0.264 0.264
P5 P 0.736 0.264 0.736
P6 P 0.736 0.736 0.264
Pd1 Pd 0.000 0.000 0.345
Pd2 Pd 0.000 0.000 0.655
Pd3 Pd 0.000 0.345 0.000
Pd4 Pd 0.000 0.345 0.655
Pd5 Pd 0.000 0.655 0.000
Pd6 Pd 0.000 0.655 0.345
Pd7 Pd 0.152 0.616 0.616
Pd8 Pd 0.345 0.000 0.000
Pd9 Pd 0.345 0.000 0.655
Pd10 Pd 0.345 0.655 0.000
Pd11 Pd 0.384 0.384 0.384
Pd12 Pd 0.384 0.384 0.848
Pd13 Pd 0.384 0.848 0.384
Pd14 Pd 0.616 0.152 0.616
Pd15 Pd 0.616 0.616 0.152
Pd16 Pd 0.616 0.616 0.616
Pd17 Pd 0.655 0.000 0.000
Pd18 Pd 0.655 0.000 0.345
Pd19 Pd 0.655 0.345 0.000
Pd20 Pd 0.848 0.384 0.384
```

Main lines, low angle first (10° ≤ 2θ ≤ 80°):
d_spacing	two_theta	Rel. int.
2.744	32.64	230
2.505	35.85	364
2.361	38.11	1000
2.169	41.64	335
2.074	43.64	217
2.045	44.29	93
1.850	49.26	123
1.488	62.41	75
1.446	64.43	297
1.417	65.93	148
1.252	75.99	210
1.233	77.39	96

=====

# 4
Structure and theoretical X-ray powder pattern of HoPPd (a structure optimized by DFT (PBE); Cu Kα).
Lines closer than 0.1° are merged.

Structure:
```
data_HoPPd
_chemical_formula_sum 'Ho4 P4 Pd4'
_symmetry_space_group_name_H-M 'P 1'
_symmetry_Int_Tables_number 1
_cell_length_a 6.896
_cell_length_b 4.003
_cell_length_c 7.744
_cell_angle_alpha 90.00
_cell_angle_beta 90.00
_cell_angle_gamma 90.00
loop_
_symmetry_equiv_pos_as_xyz
'x,y,z'
loop_
_atom_site_label
_atom_site_type_symbol
_atom_site_fract_x
_atom_site_fract_y
_atom_site_fract_z
Ho1 Ho 0.029 0.250 0.187
Ho2 Ho 0.471 0.750 0.687
Ho3 Ho 0.529 0.250 0.313
Ho4 Ho 0.971 0.750 0.813
P1 P 0.247 0.750 0.377
P2 P 0.253 0.250 0.877
P3 P 0.747 0.750 0.123
P4 P 0.753 0.250 0.623
Pd1 Pd 0.148 0.250 0.561
Pd2 Pd 0.352 0.750 0.061
Pd3 Pd 0.648 0.250 0.939
Pd4 Pd 0.852 0.750 0.439
```

Main lines, low angle first (10° ≤ 2θ ≤ 80°):
d_spacing	two_theta	Rel. int.
3.556	25.04	254
3.448	25.84	123
2.613	34.33	394
2.579	34.78	1000
2.475	36.29	788
2.417	37.19	372
2.203	40.96	208
2.169	41.64	315
2.068	43.78	208
2.002	45.30	317
1.542	60.00	186
1.389	67.44	247

=====

# 5
Structure and theoretical X-ray powder pattern of Ho2P7Rh12 (a structure optimized by DFT (PBE); Cu Kα).
Lines closer than 0.1° are merged.

Structure:
```
data_Ho2P7Rh12
_chemical_formula_sum 'Ho2 P7 Rh12'
_symmetry_space_group_name_H-M 'P 1'
_symmetry_Int_Tables_number 1
_cell_length_a 9.603
_cell_length_b 9.603
_cell_length_c 3.863
_cell_angle_alpha 90.00
_cell_angle_beta 90.00
_cell_angle_gamma 120.00
loop_
_symmetry_equiv_pos_as_xyz
'x,y,z'
loop_
_atom_site_label
_atom_site_type_symbol
_atom_site_fract_x
_atom_site_fract_y
_atom_site_fract_z
Ho1 Ho 0.333 0.667 0.249
Ho2 Ho 0.667 0.333 0.751
P1 P 0.000 0.000 0.000
P2 P 0.119 0.405 0.747
P3 P 0.286 0.881 0.747
P4 P 0.405 0.286 0.253
P5 P 0.595 0.714 0.747
P6 P 0.714 0.119 0.253
P7 P 0.881 0.595 0.253
Rh1 Rh 0.069 0.618 0.749
Rh2 Rh 0.111 0.850 0.249
Rh3 Rh 0.150 0.261 0.249
Rh4 Rh 0.261 0.111 0.751
Rh5 Rh 0.382 0.451 0.749
Rh6 Rh 0.451 0.069 0.251
Rh7 Rh 0.549 0.931 0.749
Rh8 Rh 0.618 0.549 0.251
Rh9 Rh 0.739 0.889 0.249
Rh10 Rh 0.850 0.739 0.751
Rh11 Rh 0.889 0.150 0.751
Rh12 Rh 0.931 0.382 0.251
```

Main lines, low angle first (10° ≤ 2θ ≤ 80°):
d_spacing	two_theta	Rel. int.
3.143	28.40	138
2.438	36.87	1000
2.401	37.46	89
2.079	43.53	54
1.980	45.82	71
1.932	47.04	149
1.908	47.67	75
1.815	50.28	181
1.646	55.87	56
1.528	60.62	49
1.456	63.95	78
1.323	71.31	114

=====

# 6
Structure and theoretical X-ray powder pattern of HoPS (a structure optimized by DFT (PBE); Cu Kα).
Lines closer than 0.1° are merged.

Structure:
```
data_HoPS
_chemical_formula_sum 'Ho8 P8 S8'
_symmetry_space_group_name_H-M 'P 1'
_symmetry_Int_Tables_number 1
_cell_length_a 5.348
_cell_length_b 5.293
_cell_length_c 16.662
_cell_angle_alpha 90.00
_cell_angle_beta 90.00
_cell_angle_gamma 90.00
loop_
_symmetry_equiv_pos_as_xyz
'x,y,z'
loop_
_atom_site_label
_atom_site_type_symbol
_atom_site_fract_x
_atom_site_fract_y
_atom_site_fract_z
Ho1 Ho 0.015 0.250 0.146
Ho2 Ho 0.016 0.750 0.362
Ho3 Ho 0.484 0.250 0.862
Ho4 Ho 0.485 0.750 0.646
Ho5 Ho 0.515 0.250 0.354
Ho6 Ho 0.516 0.750 0.138
Ho7 Ho 0.984 0.250 0.638
Ho8 Ho 0.985 0.750 0.854
P1 P 0.206 0.535 0.997
P2 P 0.206 0.965 0.997
P3 P 0.294 0.035 0.497
P4 P 0.294 0.465 0.497
P5 P 0.706 0.535 0.503
P6 P 0.706 0.965 0.503
P7 P 0.794 0.035 0.003
P8 P 0.794 0.465 0.003
S1 S 0.012 0.250 0.316
S2 S 0.015 0.750 0.189
S3 S 0.485 0.250 0.689
S4 S 0.488 0.750 0.816
S5 S 0.512 0.250 0.184
S6 S 0.515 0.750 0.311
S7 S 0.985 0.250 0.811
S8 S 0.988 0.750 0.684
```

Main lines, low angle first (10° ≤ 2θ ≤ 80°):
d_spacing	two_theta	Rel. int.
4.166	21.33	301
3.429	25.99	1000
2.777	32.23	185
2.674	33.51	202
2.646	33.87	213
2.250	40.07	263
2.234	40.37	666
1.881	48.39	238
1.822	50.06	132
1.714	53.45	119
1.656	55.50	120
1.643	55.98	135

=====

# 7
Structure and theoretical X-ray powder pattern of HoZn3P3 (a structure optimized by DFT (PBE); Cu Kα).
Lines closer than 0.1° are merged.

Structure:
```
data_HoZn3P3
_chemical_formula_sum 'Ho2 Zn6 P6'
_symmetry_space_group_name_H-M 'P 1'
_symmetry_Int_Tables_number 1
_cell_length_a 3.983
_cell_length_b 3.983
_cell_length_c 19.761
_cell_angle_alpha 90.00
_cell_angle_beta 90.00
_cell_angle_gamma 120.00
loop_
_symmetry_equiv_pos_as_xyz
'x,y,z'
loop_
_atom_site_label
_atom_site_type_symbol
_atom_site_fract_x
_atom_site_fract_y
_atom_site_fract_z
Ho1 Ho 0.000 0.000 0.000
Ho2 Ho 0.000 0.000 0.500
Zn1 Zn 0.333 0.667 0.129
Zn2 Zn 0.333 0.667 0.371
Zn3 Zn 0.333 0.667 0.750
Zn4 Zn 0.667 0.333 0.250
Zn5 Zn 0.667 0.333 0.629
Zn6 Zn 0.667 0.333 0.871
P1 P 0.333 0.667 0.250
P2 P 0.333 0.667 0.583
P3 P 0.333 0.667 0.917
P4 P 0.667 0.333 0.083
P5 P 0.667 0.333 0.417
P6 P 0.667 0.333 0.750
```

Main lines, low angle first (10° ≤ 2θ ≤ 80°):
d_spacing	two_theta	Rel. int.
3.257	27.38	1000
2.828	31.63	666
2.599	34.51	341
2.470	36.37	275
2.382	37.76	579
1.992	45.55	668
1.715	53.44	176
1.699	53.96	152
1.628	56.51	128
1.550	59.63	379
1.528	60.60	143
1.212	78.98	133

=====

# 8
Structure and theoretical X-ray powder pattern of HoPaTc2 (a structure optimized by DFT (PBE); Cu Kα).
Lines closer than 0.1° are merged.

Structure:
```
data_HoPaTc2
_chemical_formula_sum 'Ho4 Pa4 Tc8'
_symmetry_space_group_name_H-M 'P 1'
_symmetry_Int_Tables_number 1
_cell_length_a 6.843
_cell_length_b 6.843
_cell_length_c 6.843
_cell_angle_alpha 90.00
_cell_angle_beta 90.00
_cell_angle_gamma 90.00
loop_
_symmetry_equiv_pos_as_xyz
'x,y,z'
loop_
_atom_site_label
_atom_site_type_symbol
_atom_site_fract_x
_atom_site_fract_y
_atom_site_fract_z
Ho1 Ho 0.000 0.000 0.000
Ho2 Ho 0.000 0.500 0.500
Ho3 Ho 0.500 0.000 0.500
Ho4 Ho 0.500 0.500 0.000
Pa1 Pa 0.000 0.000 0.500
Pa2 Pa 0.000 0.500 0.000
Pa3 Pa 0.500 0.000 0.000
Pa4 Pa 0.500 0.500 0.500
Tc1 Tc 0.250 0.250 0.250
Tc2 Tc 0.250 0.250 0.750
Tc3 Tc 0.250 0.750 0.250
Tc4 Tc 0.250 0.750 0.750
Tc5 Tc 0.750 0.250 0.250
Tc6 Tc 0.750 0.250 0.750
Tc7 Tc 0.750 0.750 0.250
Tc8 Tc 0.750 0.750 0.750
```

Main lines, low angle first (10° ≤ 2θ ≤ 80°):
d_spacing	two_theta	Rel. int.
3.951	22.51	26
3.421	26.04	121
2.419	37.16	1000
2.063	43.88	15
1.975	45.94	38
1.711	53.57	175
1.570	58.82	7
1.530	60.51	53
1.397	67.00	357
1.317	71.66	5
1.210	79.18	112

=====

# 9
Structure and theoretical X-ray powder pattern of Ho5Pb4 (a structure optimized by DFT (PBE); Cu Kα).
Lines closer than 0.1° are merged.

Structure:
```
data_Ho5Pb4
_chemical_formula_sum 'Ho20 Pb16'
_symmetry_space_group_name_H-M 'P 1'
_symmetry_Int_Tables_number 1
_cell_length_a 8.171
_cell_length_b 15.669
_cell_length_c 8.238
_cell_angle_alpha 90.00
_cell_angle_beta 90.00
_cell_angle_gamma 90.00
loop_
_symmetry_equiv_pos_as_xyz
'x,y,z'
loop_
_atom_site_label
_atom_site_type_symbol
_atom_site_fract_x
_atom_site_fract_y
_atom_site_fract_z
Ho1 Ho 0.033 0.100 0.178
Ho2 Ho 0.033 0.400 0.178
Ho3 Ho 0.122 0.620 0.340
Ho4 Ho 0.122 0.880 0.340
Ho5 Ho 0.208 0.250 0.503
Ho6 Ho 0.292 0.750 0.003
Ho7 Ho 0.378 0.120 0.840
Ho8 Ho 0.378 0.380 0.840
Ho9 Ho 0.467 0.600 0.678
Ho10 Ho 0.467 0.900 0.678
Ho11 Ho 0.533 0.100 0.322
Ho12 Ho 0.533 0.400 0.322
Ho13 Ho 0.622 0.620 0.160
Ho14 Ho 0.622 0.880 0.160
Ho15 Ho 0.708 0.250 0.997
Ho16 Ho 0.792 0.750 0.497
Ho17 Ho 0.878 0.120 0.660
Ho18 Ho 0.878 0.380 0.660
Ho19 Ho 0.967 0.600 0.822
Ho20 Ho 0.967 0.900 0.822
Pb1 Pb 0.071 0.250 0.872
Pb2 Pb 0.155 0.750 0.651
Pb3 Pb 0.219 0.042 0.532
Pb4 Pb 0.219 0.458 0.532
Pb5 Pb 0.281 0.542 0.032
Pb6 Pb 0.281 0.958 0.032
Pb7 Pb 0.345 0.250 0.151
Pb8 Pb 0.429 0.750 0.372
Pb9 Pb 0.571 0.250 0.628
Pb10 Pb 0.655 0.750 0.849
Pb11 Pb 0.719 0.042 0.968
Pb12 Pb 0.719 0.458 0.968
Pb13 Pb 0.781 0.542 0.468
Pb14 Pb 0.781 0.958 0.468
Pb15 Pb 0.845 0.250 0.349
Pb16 Pb 0.929 0.750 0.128
```

Main lines, low angle first (10° ≤ 2θ ≤ 80°):
d_spacing	two_theta	Rel. int.
3.316	26.89	160
3.005	29.74	1000
2.901	30.82	275
2.839	31.52	196
2.828	31.64	164
2.757	32.47	225
2.676	33.49	541
2.611	34.34	197
2.586	34.69	241
2.568	34.94	405
2.552	35.17	229
1.464	63.57	168

=====

# 10
Structure and theoretical X-ray powder pattern of HoPb3 (a structure optimized by DFT (PBE); Cu Kα).
Lines closer than 0.1° are merged.

Structure:
```
data_HoPb3
_chemical_formula_sum 'Ho1 Pb3'
_symmetry_space_group_name_H-M 'P 1'
_symmetry_Int_Tables_number 1
_cell_length_a 4.889
_cell_length_b 4.889
_cell_length_c 4.889
_cell_angle_alpha 90.00
_cell_angle_beta 90.00
_cell_angle_gamma 90.00
loop_
_symmetry_equiv_pos_as_xyz
'x,y,z'
loop_
_atom_site_label
_atom_site_type_symbol
_atom_site_fract_x
_atom_site_fract_y
_atom_site_fract_z
Ho1 Ho 0.000 0.000 0.000
Pb1 Pb 0.000 0.500 0.500
Pb2 Pb 0.500 0.000 0.500
Pb3 Pb 0.500 0.500 0.000
```

Main lines, low angle first (10° ≤ 2θ ≤ 80°):
d_spacing	two_theta	Rel. int.
4.889	18.14	7
3.457	25.77	7
2.823	31.70	1000
2.445	36.76	508
1.729	52.97	363
1.474	63.06	434
1.411	66.21	126
1.222	78.20	60

=====

# 11
Structure and theoretical X-ray powder pattern of Ho3Pb (a structure optimized by DFT (PBE); Cu Kα).
Lines closer than 0.1° are merged.

Structure:
```
data_Ho3Pb
_chemical_formula_sum 'Ho6 Pb2'
_symmetry_space_group_name_H-M 'P 1'
_symmetry_Int_Tables_number 1
_cell_length_a 4.693
_cell_length_b 4.693
_cell_length_c 10.498
_cell_angle_alpha 90.00
_cell_angle_beta 90.00
_cell_angle_gamma 90.00
loop_
_symmetry_equiv_pos_as_xyz
'x,y,z'
loop_
_atom_site_label
_atom_site_type_symbol
_atom_site_fract_x
_atom_site_fract_y
_atom_site_fract_z
Ho1 Ho 0.000 0.000 0.000
Ho2 Ho 0.000 0.500 0.250
Ho3 Ho 0.000 0.500 0.750
Ho4 Ho 0.500 0.000 0.250
Ho5 Ho 0.500 0.000 0.750
Ho6 Ho 0.500 0.500 0.500
Pb1 Pb 0.000 0.000 0.500
Pb2 Pb 0.500 0.500 0.000
```

Main lines, low angle first (10° ≤ 2θ ≤ 80°):
d_spacing	two_theta	Rel. int.
4.284	20.73	9
2.805	31.91	1000
2.624	34.17	208
2.346	38.36	305
1.749	52.30	252
1.659	55.38	106
1.548	59.75	170
1.428	65.35	260
1.402	66.70	123
1.312	71.96	25

=====

# 12
Structure and theoretical X-ray powder pattern of Ho5Pb3 (a structure optimized by DFT (PBE); Cu Kα).
Lines closer than 0.1° are merged.

Structure:
```
data_Ho5Pb3
_chemical_formula_sum 'Ho10 Pb6'
_symmetry_space_group_name_H-M 'P 1'
_symmetry_Int_Tables_number 1
_cell_length_a 9.029
_cell_length_b 9.029
_cell_length_c 6.608
_cell_angle_alpha 90.00
_cell_angle_beta 90.00
_cell_angle_gamma 120.00
loop_
_symmetry_equiv_pos_as_xyz
'x,y,z'
loop_
_atom_site_label
_atom_site_type_symbol
_atom_site_fract_x
_atom_site_fract_y
_atom_site_fract_z
Ho1 Ho 0.000 0.237 0.250
Ho2 Ho 0.000 0.763 0.750
Ho3 Ho 0.237 0.000 0.250
Ho4 Ho 0.237 0.237 0.750
Ho5 Ho 0.333 0.667 0.000
Ho6 Ho 0.333 0.667 0.500
Ho7 Ho 0.667 0.333 0.000
Ho8 Ho 0.667 0.333 0.500
Ho9 Ho 0.763 0.000 0.750
Ho10 Ho 0.763 0.763 0.250
Pb1 Pb 0.000 0.394 0.750
Pb2 Pb 0.000 0.606 0.250
Pb3 Pb 0.394 0.000 0.750
Pb4 Pb 0.394 0.394 0.250
Pb5 Pb 0.606 0.000 0.250
Pb6 Pb 0.606 0.606 0.750
```

Main lines, low angle first (10° ≤ 2θ ≤ 80°):
d_spacing	two_theta	Rel. int.
3.304	26.99	231
2.956	30.24	249
2.698	33.21	1000
2.666	33.61	705
2.607	34.41	375
2.136	42.31	119
2.061	43.94	158
1.864	48.86	153
1.766	51.76	290
1.652	55.64	115
1.577	58.55	119
1.414	66.10	218

=====

# 13
Structure and theoretical X-ray powder pattern of HoPd2Pb (a structure optimized by DFT (PBE); Cu Kα).
Lines closer than 0.1° are merged.

Structure:
```
data_HoPd2Pb
_chemical_formula_sum 'Ho4 Pd8 Pb4'
_symmetry_space_group_name_H-M 'P 1'
_symmetry_Int_Tables_number 1
_cell_length_a 6.882
_cell_length_b 6.882
_cell_length_c 6.882
_cell_angle_alpha 90.00
_cell_angle_beta 90.00
_cell_angle_gamma 90.00
loop_
_symmetry_equiv_pos_as_xyz
'x,y,z'
loop_
_atom_site_label
_atom_site_type_symbol
_atom_site_fract_x
_atom_site_fract_y
_atom_site_fract_z
Ho1 Ho 0.000 0.000 0.000
Ho2 Ho 0.000 0.500 0.500
Ho3 Ho 0.500 0.000 0.500
Ho4 Ho 0.500 0.500 0.000
Pd1 Pd 0.250 0.250 0.250
Pd2 Pd 0.250 0.250 0.750
Pd3 Pd 0.250 0.750 0.250
Pd4 Pd 0.250 0.750 0.750
Pd5 Pd 0.750 0.250 0.250
Pd6 Pd 0.750 0.250 0.750
Pd7 Pd 0.750 0.750 0.250
Pd8 Pd 0.750 0.750 0.750
Pb1 Pb 0.000 0.000 0.500
Pb2 Pb 0.000 0.500 0.000
Pb3 Pb 0.500 0.000 0.000
Pb4 Pb 0.500 0.500 0.500
```

Main lines, low angle first (10° ≤ 2θ ≤ 80°):
d_spacing	two_theta	Rel. int.
3.973	22.38	11
3.441	25.89	79
2.433	36.94	1000
2.075	43.62	7
1.987	45.67	26
1.720	53.24	175
1.539	60.13	36
1.405	66.57	358
1.217	78.65	113